Starting from a structure optimized by DFT (PBE), the powder diffractogram of Nd7Sm4Er was computed for λ = 1.5418 Å (Cu Kα).
Kinematic intensities with the Lorentz-polarization factor, no thermal factor.

Cell and atoms:
Cell: 6.364 7.352 9.092 Å, 90.00 103.51 90.01°
Space group P-1 (No. 2)
Symmetry-distinct sites (fractional):
Nd  0.000  0.000  0.000 x1
Nd  0.222  0.500  0.667 x2
Nd  0.278  0.250  0.331 x2
Nd  0.500  0.251  0.000 x2
Sm  0.223  0.000  0.666 x2
Sm  0.277  0.750  0.330 x2
Er  0.000  0.500  0.000 x1

The 10 most intense peaks (10° ≤ 2θ ≤ 90°), by intensity:
| hkl | 2theta | d (Å) | I (rel.) |
| --- | --- | --- | --- |
| 1 2 1 | 31.17 | 2.869 | 100 |
| 2 0 1 | 32.82 | 2.729 | 85 |
| 0 0 3 | 30.33 | 2.947 | 50 |
| 3 2 2 | 59.26 | 1.559 | 45 |
| 0 4 0 | 49.61 | 1.838 | 38 |
| 1 -2 0 | 28.24 | 3.160 | 36 |
| 1 2 4 | 53.34 | 1.717 | 23 |
| 2 0 4 | 56.54 | 1.628 | 18 |
| 3 2 5 | 84.24 | 1.149 | 17 |
| -1 2 3 | 39.24 | 2.296 | 16 |